No. 1
Structure and computed powder diffraction line list of PmAgSeO (a structure optimized by DFT (PBE); copper Kα).

Largest 10 diffraction maxima, low angle first, 5° ≤ 2θ ≤ 70°:
2θ/deg, intensity, hkl
29.13, 100, 1 1 2
32.76, 62, 2 0 1
36.25, 39, 1 1 3
36.80, 54, 2 0 2
44.87, 51, 2 2 0
50.23, 34, 2 0 4
54.39, 35, 3 1 2
58.99, 19, 3 1 3
65.32, 15, 4 0 0
68.08, 19, 2 2 5

Cell: 5.714 5.714 9.413 Å, 90.00 90.00 90.00°
Space group P4bm (No. 100)
One atom of each set of equivalent atoms:
Pm 0.000 0.000 0.000 [2 per cell]
Pm 0.000 0.500 0.247 [2 per cell]
Ag 0.231 0.269 0.622 [4 per cell]
Se 0.000 0.000 0.419 [2 per cell]
Se 0.000 0.500 0.829 [2 per cell]
O 0.249 0.251 0.124 [4 per cell]

---

No. 2
Structure and computed powder diffraction line list of PmAgSeO (a structure optimized by DFT (PBE); copper Kα).

Largest 10 diffraction maxima, low angle first, 5° ≤ 2θ ≤ 70°:
2θ/deg, intensity, hkl
29.13, 100, 2 1 1
32.75, 64, 1 2 0
36.26, 39, 3 1 1
36.80, 55, 2 2 0
44.85, 53, 0 2 2
50.25, 35, 4 2 0
54.38, 35, 2 3 1
58.98, 20, 3 3 1
65.30, 17, 0 4 0
68.10, 19, 5 2 2

Cell: 9.405 5.716 5.716 Å, 90.00 90.00 90.00°
Space group Pbcm (No. 57)
One atom of each set of equivalent atoms:
Pm 0.124 0.000 0.250 [4 per cell]
Ag 0.500 0.250 0.000 [4 per cell]
Se 0.296 0.000 0.750 [4 per cell]
O 0.000 0.250 0.000 [4 per cell]

---

No. 3
Structure and computed powder diffraction line list of PmAgSeO (a structure optimized by DFT (PBE); copper Kα).

Largest 10 diffraction maxima, low angle first, 5° ≤ 2θ ≤ 70°:
2θ/deg, intensity, hkl
29.11, 100, 1 1 2
32.75, 62, 2 0 1
36.21, 40, 1 1 3
36.78, 53, 2 0 2
44.86, 50, 2 2 0
50.18, 33, 2 0 4
54.37, 35, 3 1 2
58.96, 19, 3 1 3
65.31, 15, 4 0 0
68.02, 20, 2 2 5

Cell: 5.713 5.716 9.427 Å, 90.00 90.00 90.00°
Space group Pba2 (No. 32)
One atom of each set of equivalent atoms:
Pm 0.000 0.000 0.000 [2 per cell]
Pm 0.000 0.500 0.247 [2 per cell]
Ag 0.232 0.223 0.625 [4 per cell]
Se 0.000 0.000 0.417 [2 per cell]
Se 0.000 0.500 0.828 [2 per cell]
O 0.249 0.250 0.123 [4 per cell]

---

No. 4
Structure and computed powder diffraction line list of PmAgSeO (a structure optimized by DFT (PBE); copper Kα).

Largest 10 diffraction maxima, low angle first, 5° ≤ 2θ ≤ 70°:
2θ/deg, intensity, hkl
29.11, 100, 1 2 1
32.76, 63, 2 1 0
36.21, 40, 1 3 1
36.79, 54, 2 2 0
44.87, 51, 2 0 2
50.18, 34, 2 4 0
54.38, 35, 3 2 1
58.97, 19, 3 3 1
65.34, 15, 4 0 0
68.03, 22, 2 5 2

Cell: 5.711 9.429 5.715 Å, 90.00 90.00 90.00°
Space group Pcca (No. 54)
One atom of each set of equivalent atoms:
Pm 0.000 0.123 0.250 [4 per cell]
Ag 0.250 0.500 0.028 [4 per cell]
Se 0.000 0.295 0.750 [4 per cell]
O 0.250 0.000 0.000 [4 per cell]

---

No. 5
Structure and computed powder diffraction line list of PmAgSeO (a structure optimized by DFT (PBE); copper Kα).

Largest 10 diffraction maxima, low angle first, 5° ≤ 2θ ≤ 70°:
2θ/deg, intensity, hkl
29.14, 100, 1 2 1
32.74, 64, 2 1 0
36.28, 38, 1 3 1
36.80, 55, 2 2 0
44.84, 53, 2 0 2
50.27, 35, 2 4 0
54.37, 35, 3 2 1
58.99, 20, 3 3 1
65.28, 17, 4 0 0
68.13, 19, 2 5 2

Cell: 5.717 9.396 5.718 Å, 90.00 90.00 90.00°
Space group Pccm (No. 49)
One atom of each set of equivalent atoms:
Pm 0.250 0.124 0.000 [4 per cell]
Ag 0.000 0.500 0.250 [2 per cell]
Ag 0.500 0.500 0.250 [2 per cell]
Se 0.249 0.296 0.500 [4 per cell]
O 0.000 0.000 0.250 [2 per cell]
O 0.500 0.000 0.250 [2 per cell]

---

No. 6
Structure and computed powder diffraction line list of PmAgSeO (a structure optimized by DFT (PBE); copper Kα).

Largest 10 diffraction maxima, low angle first, 5° ≤ 2θ ≤ 70°:
2θ/deg, intensity, hkl
7.76, 67, 0 0 1
21.50, 91, 1 1 0
23.11, 35, 1 1 1
26.26, 100, 1 1 -2
27.04, 99, 1 1 2
31.51, 77, 1 1 -3
31.58, 54, 0 2 1
32.50, 72, 1 1 3
39.57, 58, 0 0 5
43.80, 85, 2 2 0

Cell: 5.848 5.850 11.397 Å, 90.00 92.45 90.00°
Space group P2_1 (No. 4)
One atom of each set of equivalent atoms:
Pm 0.006 0.000 0.097 [2 per cell]
Pm 0.492 0.001 0.903 [2 per cell]
Ag 0.191 0.277 0.496 [2 per cell]
Ag 0.498 0.023 0.294 [2 per cell]
Se 0.198 0.322 0.281 [2 per cell]
Se 0.202 0.226 0.711 [2 per cell]
O 0.250 0.749 0.000 [2 per cell]
O 0.252 0.249 0.999 [2 per cell]

---

No. 7
Structure and computed powder diffraction line list of PmAgSeO (a structure optimized by DFT (PBE); copper Kα).

Largest 10 diffraction maxima, low angle first, 5° ≤ 2θ ≤ 70°:
2θ/deg, intensity, hkl
29.13, 100, 1 1 2
32.75, 64, 2 0 1
36.26, 38, 1 1 3
36.80, 55, 2 0 2
44.86, 53, 2 2 0
50.25, 35, 2 0 4
54.38, 35, 3 1 2
58.98, 20, 3 1 3
65.31, 17, 4 0 0
68.10, 19, 2 2 5

Cell: 5.715 5.715 9.406 Å, 90.00 90.00 90.00°
Space group P-42m (No. 111)
One atom of each set of equivalent atoms:
Pm 0.250 0.250 0.124 [4 per cell]
Ag 0.000 0.000 0.500 [1 per cell]
Ag 0.000 0.500 0.500 [2 per cell]
Ag 0.500 0.500 0.500 [1 per cell]
Se 0.249 0.249 0.704 [4 per cell]
O 0.000 0.000 0.000 [1 per cell]
O 0.000 0.500 0.000 [2 per cell]
O 0.500 0.500 0.000 [1 per cell]

---

No. 8
Structure and computed powder diffraction line list of RbPr2AgO4 (a structure optimized by DFT (PBE); copper Kα).

Largest 10 diffraction maxima, low angle first, 5° ≤ 2θ ≤ 70°:
2θ/deg, intensity, hkl
6.49, 22, 0 0 1
26.18, 34, 0 0 4
28.50, 40, 1 0 1
30.73, 100, 1 0 2
34.15, 17, 1 0 3
43.54, 21, 1 0 5
49.07, 52, 1 1 0
55.18, 15, 1 0 7
56.42, 24, 1 1 4
58.98, 16, 2 0 2

Cell: 3.7161 3.7161 13.6152 Å, 90.00 90.00 120.00°
Space group P-6m2 (No. 187)
One atom of each set of equivalent atoms:
Rb 0.0000 0.0000 0.0000 [1 per cell]
Pr 0.3333 0.6667 0.2716 [2 per cell]
Ag 0.6667 0.3333 0.5000 [1 per cell]
O 0.0000 0.0000 0.1874 [2 per cell]
O 0.6667 0.3333 0.3497 [2 per cell]

---

No. 9
Structure and computed powder diffraction line list of Ag7Pt2O7 (a structure optimized by DFT (PBE); copper Kα).

Largest 10 diffraction maxima, low angle first, 5° ≤ 2θ ≤ 70°:
2θ/deg, intensity, hkl
18.22, 13, 1 0 4
22.39, 11, 2 0 2
33.78, 35, 0 0 9
33.88, 100, 3 0 3
39.29, 88, 0 3 6
41.52, 8, 1 3 4
56.72, 23, 3 0 12
56.86, 27, 3 3 0
67.79, 18, 3 3 9
67.86, 11, 0 6 3

Cell: 9.7162 9.7162 23.8893 Å, 90.00 90.00 120.00°
Space group R-3m (No. 166, hexagonal axes)
One atom of each set of equivalent atoms:
Ag 0.0000 0.0000 0.0000 [3 per cell]
Ag 0.0000 0.0000 0.3336 [6 per cell]
Ag 0.0000 0.3470 0.0000 [18 per cell]
Ag 0.0695 0.5347 0.9017 [18 per cell]
Ag 0.0994 0.1988 0.5684 [18 per cell]
Pt 0.1065 0.2131 0.8807 [18 per cell]
O 0.0000 0.0000 0.1662 [6 per cell]
O 0.0000 0.0000 0.5000 [3 per cell]
O 0.0000 0.3590 0.5000 [18 per cell]
O 0.0605 0.5302 0.3973 [18 per cell]
O 0.0997 0.1994 0.0752 [18 per cell]

---

No. 10
Structure and computed powder diffraction line list of AgPtO3 (a structure optimized by DFT (PBE); copper Kα).

Largest 10 diffraction maxima, low angle first, 5° ≤ 2θ ≤ 70°:
2θ/deg, intensity, hkl
17.55, 24, 0 0 3
22.44, 39, 0 1 2
30.44, 78, 1 0 4
33.40, 100, 1 1 0
37.97, 19, 2 -1 3
45.81, 27, 0 2 4
49.56, 51, 2 -1 6
57.87, 26, 3 -1 4
59.70, 27, 3 0 0
65.43, 19, 1 1 9

Cell: 5.3657 5.3657 15.1580 Å, 90.00 90.00 120.00°
Space group R-3 (No. 148, hexagonal axes)
One atom of each set of equivalent atoms:
Ag 0.0000 0.0000 0.1340 [6 per cell]
Pt 0.0000 0.0000 0.3374 [6 per cell]
O 0.0100 0.6293 0.9271 [18 per cell]

---

No. 11
Structure and computed powder diffraction line list of AgPtSO (a structure optimized by DFT (PBE); copper Kα).

Largest 10 diffraction maxima, low angle first, 5° ≤ 2θ ≤ 70°:
2θ/deg, intensity, hkl
24.63, 52, 1 1 1
25.56, 45, 0 2 0
29.48, 64, 1 2 0
30.65, 56, 0 0 2
33.01, 100, 2 0 1
33.32, 60, 1 2 1
40.32, 28, 0 2 2
42.21, 46, 2 2 1
43.05, 42, 1 2 2
54.37, 26, 3 2 1

Cell: 6.131 6.970 5.834 Å, 90.00 90.00 90.00°
Space group Pca2_1 (No. 29)
One atom of each set of equivalent atoms:
Ag 0.192 0.157 0.000 [4 per cell]
Pt 0.118 0.690 0.080 [4 per cell]
S 0.018 0.592 0.722 [4 per cell]
O 0.192 0.872 0.378 [4 per cell]